Entry 1:
Structure and simulated X-ray diffraction stick pattern of PaMn2Se4 (DFT lattice parameters and positions (GGA-PBE); a wavelength of 1.5418 Å).

The 10 most intense peaks (10 to 90 degrees two-theta), low angle first:
2theta	I/Imax
13.6	60
17.6	31
26.2	33
26.3	74
31.6	50
31.9	94
45.5	100
45.7	48
56.7	33
84.5	26

```
data_PaMn2Se4
_space_group_name_H-M_alt 'P 41 2 2'
_space_group_IT_number 91
_cell_length_a 7.9329
_cell_length_b 7.9329
_cell_length_c 11.3159
_cell_angle_alpha 90.00
_cell_angle_beta 90.00
_cell_angle_gamma 90.00
loop_
_space_group_symop_operation_xyz
'x,y,z'
'-y,x,z+1/4'
'-x,-y,z+1/2'
'y,-x,z+3/4'
'x,-y,-z+1/2'
'-y,-x,-z+1/4'
'-x,y,-z'
'y,x,-z+3/4'
loop_
_atom_site_label
_atom_site_type_symbol
_atom_site_fract_x
_atom_site_fract_y
_atom_site_fract_z
Pa1 Pa 0.0000 0.2747 0.0000
Mn1 Mn 0.2509 0.2509 0.3750
Mn2 Mn 0.2600 0.5000 0.7500
Se1 Se 0.0157 0.2550 0.7482
Se2 Se 0.2677 0.4950 0.5123
```

=====

Entry 2:
Structure and simulated X-ray diffraction stick pattern of ThPaMn2Se8 (DFT lattice parameters and positions (GGA-PBE); a wavelength of 1.5418 Å).

The 10 most intense peaks (10 to 90 degrees two-theta), low angle first:
2theta	I/Imax
14.6	50
22.8	100
30.1	46
32.8	34
35.8	31
37.3	41
37.9	57
44.1	47
44.8	17
45.1	20

```
data_ThPaMn2Se8
_space_group_name_H-M_alt 'I -4'
_space_group_IT_number 82
_cell_length_a 6.8224
_cell_length_b 6.8224
_cell_length_c 13.2542
_cell_angle_alpha 90.00
_cell_angle_beta 90.00
_cell_angle_gamma 90.00
loop_
_space_group_symop_operation_xyz
'x,y,z'
'y,-x,-z'
'-x,-y,z'
'-y,x,-z'
'x+1/2,y+1/2,z+1/2'
'y+1/2,-x+1/2,-z+1/2'
'-x+1/2,-y+1/2,z+1/2'
'-y+1/2,x+1/2,-z+1/2'
loop_
_atom_site_label
_atom_site_type_symbol
_atom_site_fract_x
_atom_site_fract_y
_atom_site_fract_z
Th1 Th 0.0000 0.0000 0.0000
Pa1 Pa 0.0000 0.5000 0.7500
Mn1 Mn 0.0000 0.0000 0.5000
Mn2 Mn 0.0000 0.5000 0.2500
Se1 Se 0.1671 0.2719 0.5844
Se2 Se 0.1816 0.7688 0.1711
```

=====

Entry 3:
Structure and simulated X-ray diffraction stick pattern of Pa3MnTl3Se8 (DFT lattice parameters and positions (GGA-PBE); a wavelength of 1.5418 Å).

The 10 most intense peaks (10 to 90 degrees two-theta), low angle first:
2theta	I/Imax
14.5	18
22.3	11
26.2	18
29.3	100
39.4	38
44.3	34
54.0	18
60.8	12
65.4	14
72.3	16

```
data_Pa3MnTl3Se8
_space_group_name_H-M_alt 'R -3 m'
_space_group_IT_number 166
_space_group_name_Hall '-R 3 2"'
_cell_length_a 8.1836
_cell_length_b 8.1836
_cell_length_c 23.9210
_cell_angle_alpha 90.00
_cell_angle_beta 90.00
_cell_angle_gamma 120.00
loop_
_atom_site_label
_atom_site_type_symbol
_atom_site_fract_x
_atom_site_fract_y
_atom_site_fract_z
Pa1 Pa 0.0000 0.5000 0.0000
Mn1 Mn 0.0000 0.0000 0.0000
Tl1 Tl 0.0000 0.5000 0.5000
Se1 Se 0.0000 0.0000 0.2637
Se2 Se 0.0108 0.5054 0.7324
```